(1)
Theoretical X-ray powder pattern
Compound: NpAsHPt
Radiation: Cu Kα, 1.54184 Å
Structure: the GGA-PBE geometry in Alexandria

Top 8 peaks for 10° ≤ 2θ ≤ 90°, by angle:
23.65°, d 3.762, I = 15
33.12°, d 2.705, I = 100
41.57°, d 2.172, I = 48
46.68°, d 1.946, I = 10
54.15°, d 1.694, I = 26
64.27°, d 1.449, I = 23
70.50°, d 1.336, I = 24
77.90°, d 1.226, I = 9

```
NpAsHPt
1.0
4.3444 0.0000 0.0000
-2.1722 3.7624 0.0000
0.0000 0.0000 3.8916
Np As H Pt
1 1 1 1
Direct
0.0000 0.0000 0.0000
0.3333 0.6667 0.5412
0.6667 0.3333 0.9888
0.6667 0.3333 0.4567
```

---

(2)
Theoretical X-ray powder pattern
Compound: AcPd2Pb3
Radiation: Cu Kα, 1.54184 Å
Structure: the GGA-PBE geometry in Alexandria

Top 8 peaks for 10° ≤ 2θ ≤ 90°, by angle:
28.64°, d 3.116, I = 9
29.84°, d 2.994, I = 100
39.14°, d 2.301, I = 35
46.06°, d 1.971, I = 29
51.49°, d 1.775, I = 13
55.14°, d 1.666, I = 9
55.85°, d 1.646, I = 18
75.21°, d 1.263, I = 15

```
AcPd2Pb3
1.0
7.8828 0.0000 0.0000
-3.9414 6.8267 0.0000
0.0000 0.0000 6.2330
Ac Pd Pb
2 4 6
Direct
0.3333 0.6667 0.3109
0.6667 0.3333 0.6891
0.0000 0.0000 0.0000
0.0000 0.5000 0.0000
0.5000 0.0000 0.0000
0.5000 0.5000 0.0000
0.1623 0.3247 0.7321
0.1623 0.8377 0.7321
0.3247 0.1623 0.2679
0.6753 0.8377 0.7321
0.8377 0.1623 0.2679
0.8377 0.6753 0.2679
```

---

(3)
Theoretical X-ray powder pattern
Compound: Na2Bi5AuO11
Radiation: Cu Kα, 1.54184 Å
Structure: the GGA-PBE geometry in Alexandria

Top 8 peaks for 10° ≤ 2θ ≤ 90°, by angle:
14.18°, d 6.245, I = 27
15.87°, d 5.586, I = 18
26.86°, d 3.319, I = 29
28.59°, d 3.123, I = 48
29.48°, d 3.029, I = 24
30.50°, d 2.931, I = 100
32.05°, d 2.793, I = 23
49.58°, d 1.838, I = 20

```
Na2Bi5AuO11
1.0
12.4908 0.0000 0.0000
0.0000 12.4908 0.0000
0.0000 0.0000 3.9187
Na Bi Au O
4 10 2 22
Direct
0.2046 0.2954 0.0000
0.2954 0.7954 0.0000
0.7046 0.2046 0.0000
0.7954 0.7046 0.0000
0.0000 0.5000 0.0000
0.0495 0.7694 0.5000
0.2306 0.0495 0.5000
0.2694 0.5495 0.5000
0.4505 0.2694 0.5000
0.5000 0.0000 0.0000
0.5495 0.7306 0.5000
0.7306 0.4505 0.5000
0.7694 0.9505 0.5000
0.9505 0.2306 0.5000
0.0000 0.0000 0.0000
0.5000 0.5000 0.0000
0.0000 0.5000 0.5000
0.0029 0.3285 0.0000
0.1084 0.8773 0.0000
0.1227 0.1084 0.0000
0.1715 0.4971 0.0000
0.2122 0.7122 0.5000
0.2878 0.2122 0.5000
0.3285 0.9971 0.0000
0.3773 0.6084 0.0000
0.3916 0.3773 0.0000
0.4971 0.8285 0.0000
0.5000 0.0000 0.5000
0.5029 0.1715 0.0000
0.6084 0.6227 0.0000
0.6227 0.3916 0.0000
0.6715 0.0029 0.0000
0.7122 0.7878 0.5000
0.7878 0.2878 0.5000
0.8285 0.5029 0.0000
0.8773 0.8916 0.0000
0.8916 0.1227 0.0000
0.9971 0.6715 0.0000
```

---

(4)
Theoretical X-ray powder pattern
Compound: SnAsCl2
Radiation: Cu Kα, 1.54184 Å
Structure: the GGA-PBE geometry in Alexandria

Top 8 peaks for 10° ≤ 2θ ≤ 90°, by angle:
18.75°, d 4.732, I = 24
29.51°, d 3.027, I = 100
38.04°, d 2.366, I = 20
40.17°, d 2.245, I = 43
44.44°, d 2.039, I = 52
56.51°, d 1.628, I = 16
66.14°, d 1.413, I = 20
72.64°, d 1.302, I = 15

```
SnAsCl2
1.0
4.5183 0.0000 0.0000
0.0000 4.5183 0.0000
0.0000 0.0000 18.9263
Sn As Cl
4 4 8
Direct
0.0000 0.0000 0.0000
0.0000 0.5000 0.2500
0.5000 0.0000 0.7500
0.5000 0.5000 0.5000
0.0000 0.0000 0.5000
0.0000 0.5000 0.7500
0.5000 0.0000 0.2500
0.5000 0.5000 0.0000
0.2376 0.2500 0.6250
0.2500 0.7376 0.8750
0.2500 0.7624 0.3750
0.2624 0.2500 0.1250
0.7376 0.7500 0.1250
0.7500 0.2376 0.3750
0.7500 0.2624 0.8750
0.7624 0.7500 0.6250
```

---

(5)
Theoretical X-ray powder pattern
Compound: Np6ZnS12
Radiation: Cu Kα, 1.54184 Å
Structure: the GGA-PBE geometry in Alexandria

Top 8 peaks for 10° ≤ 2θ ≤ 90°, by angle:
14.89°, d 5.949, I = 22
24.31°, d 3.662, I = 100
24.83°, d 3.586, I = 33
28.29°, d 3.154, I = 35
40.11°, d 2.248, I = 34
40.77°, d 2.213, I = 34
47.45°, d 1.916, I = 14
47.74°, d 1.905, I = 25

```
Np6ZnS12
1.0
5.9486 3.4344 3.5864
-5.9486 3.4344 3.5864
0.0000 -6.8688 3.5864
Np Zn S
6 1 12
Direct
0.1193 0.7961 0.6317
0.2039 0.3683 0.8807
0.3683 0.8807 0.2039
0.6317 0.1193 0.7961
0.7961 0.6317 0.1193
0.8807 0.2039 0.3683
0.5000 0.5000 0.5000
0.0701 0.9224 0.3240
0.0776 0.6760 0.9299
0.1855 0.4394 0.5491
0.3240 0.0701 0.9224
0.4394 0.5491 0.1855
0.4509 0.8145 0.5606
0.5491 0.1855 0.4394
0.5606 0.4509 0.8145
0.6760 0.9299 0.0776
0.8145 0.5606 0.4509
0.9224 0.3240 0.0701
0.9299 0.0776 0.6760
```

---

(6)
Theoretical X-ray powder pattern
Compound: CaAc3Tm
Radiation: Cu Kα, 1.54184 Å
Structure: the GGA-PBE geometry in Alexandria

Top 8 peaks for 10° ≤ 2θ ≤ 90°, by angle:
27.54°, d 3.239, I = 39
28.22°, d 3.162, I = 55
29.04°, d 3.075, I = 100
29.82°, d 2.996, I = 20
30.27°, d 2.952, I = 92
44.94°, d 2.017, I = 21
49.68°, d 1.835, I = 18
53.91°, d 1.701, I = 20

```
CaAc3Tm
1.0
4.0347 0.0000 0.0000
0.0016 9.4988 0.0000
2.0150 2.6362 10.8275
Ca Ac Tm
2 6 2
Direct
0.1126 0.0466 0.2743
0.8874 0.9534 0.7257
0.2998 0.1916 0.9020
0.3156 0.6153 0.8689
0.4975 0.7659 0.5043
0.5025 0.2341 0.4957
0.6844 0.3847 0.1311
0.7002 0.8084 0.0980
0.0802 0.5526 0.3390
0.9198 0.4474 0.6610
```

---

(7)
Theoretical X-ray powder pattern
Compound: Ag2Rh2O5
Radiation: Cu Kα, 1.54184 Å
Structure: the GGA-PBE geometry in Alexandria

Top 8 peaks for 10° ≤ 2θ ≤ 90°, by angle:
29.73°, d 3.005, I = 100
32.04°, d 2.793, I = 31
35.45°, d 2.532, I = 62
40.61°, d 2.222, I = 39
51.25°, d 1.783, I = 14
52.64°, d 1.739, I = 51
61.74°, d 1.503, I = 15
63.86°, d 1.458, I = 21

```
Ag2Rh2O5
1.0
0.0000 3.5652 5.5862
2.8409 0.0000 5.5862
2.8409 3.5652 0.0000
Ag Rh O
2 2 5
Direct
0.2302 0.2302 0.7698
0.7698 0.7698 0.2302
0.0000 0.0000 0.5000
0.5000 0.5000 0.0000
0.0000 0.0000 0.0000
0.1667 0.5839 0.4161
0.4161 0.8333 0.1667
0.5839 0.1667 0.8333
0.8333 0.4161 0.5839
```

---

(8)
Theoretical X-ray powder pattern
Compound: Na3HgBi2
Radiation: Cu Kα, 1.54184 Å
Structure: the GGA-PBE geometry in Alexandria

Top 8 peaks for 10° ≤ 2θ ≤ 90°, by angle:
12.84°, d 6.893, I = 31
19.41°, d 4.574, I = 63
19.56°, d 4.539, I = 57
25.91°, d 3.438, I = 33
26.26°, d 3.394, I = 37
33.85°, d 2.648, I = 50
34.13°, d 2.627, I = 100
39.68°, d 2.271, I = 33

```
Na3HgBi2
1.0
7.2196 0.0000 0.0000
0.0000 9.0780 0.0000
-3.8350 0.0000 10.5915
Na Hg Bi
12 4 8
Direct
0.0750 0.0992 0.3957
0.0750 0.4008 0.8957
0.1994 0.5713 0.6524
0.1994 0.9287 0.1524
0.3020 0.0603 0.8501
0.3020 0.4397 0.3501
0.6980 0.5603 0.6499
0.6980 0.9397 0.1499
0.8006 0.0713 0.8476
0.8006 0.4287 0.3476
0.9250 0.5992 0.1043
0.9250 0.9008 0.6043
0.4295 0.6149 0.0989
0.4295 0.8851 0.5989
0.5705 0.1149 0.4011
0.5705 0.3851 0.9011
0.0540 0.7479 0.3802
0.0540 0.7521 0.8802
0.4273 0.2447 0.6270
0.4273 0.2553 0.1270
0.5727 0.7447 0.8730
0.5727 0.7553 0.3730
0.9460 0.2479 0.1198
0.9460 0.2521 0.6198
```

---

(9)
Theoretical X-ray powder pattern
Compound: Tb4Ho3Er
Radiation: Cu Kα, 1.54184 Å
Structure: the GGA-PBE geometry in Alexandria

Top 8 peaks for 10° ≤ 2θ ≤ 90°, by angle:
28.52°, d 3.130, I = 24
31.96°, d 2.800, I = 24
32.78°, d 2.732, I = 100
43.36°, d 2.087, I = 16
50.51°, d 1.807, I = 20
57.48°, d 1.603, I = 20
61.03°, d 1.518, I = 23
61.53°, d 1.507, I = 17

```
Tb4Ho3Er
1.0
11.2012 0.0000 0.0000
0.0000 7.2327 0.0000
0.0000 0.0000 6.2546
Tb Ho Er
8 6 2
Direct
0.0000 0.1258 0.0000
0.0000 0.8738 0.4997
0.2502 0.1261 0.3332
0.2498 0.8739 0.8332
0.5000 0.1262 0.9997
0.5000 0.8742 0.5000
0.7498 0.1261 0.3332
0.7502 0.8739 0.8332
0.0000 0.3761 0.4999
0.2499 0.3761 0.8328
0.2501 0.6239 0.3328
0.5000 0.6239 0.9999
0.7501 0.3761 0.8328
0.7499 0.6239 0.3328
0.0000 0.6238 0.0003
0.5000 0.3762 0.5003
```

---

(10)
Theoretical X-ray powder pattern
Compound: RbPr2I7
Radiation: Cu Kα, 1.54184 Å
Structure: the GGA-PBE geometry in Alexandria

Top 8 peaks for 10° ≤ 2θ ≤ 90°, by angle:
10.98°, d 8.058, I = 50
14.15°, d 6.259, I = 100
28.40°, d 3.143, I = 65
28.52°, d 3.130, I = 89
30.79°, d 2.904, I = 54
31.48°, d 2.842, I = 53
40.69°, d 2.218, I = 49
42.99°, d 2.104, I = 44

```
RbPr2I7
1.0
5.0231 -8.0578 0.0000
5.0231 8.0578 0.0000
0.0000 0.0000 6.2591
Rb Pr I
1 2 7
Direct
0.0000 0.0000 0.0000
0.3018 0.6982 0.5000
0.6982 0.3018 0.5000
0.0499 0.3253 0.5000
0.2919 0.7081 0.0000
0.3253 0.0499 0.5000
0.5000 0.5000 0.5000
0.6747 0.9501 0.5000
0.7081 0.2919 0.0000
0.9501 0.6747 0.5000
```

---

(11)
Theoretical X-ray powder pattern
Compound: MgMnI5
Radiation: Cu Kα, 1.54184 Å
Structure: the GGA-PBE geometry in Alexandria

Top 8 peaks for 10° ≤ 2θ ≤ 90°, by angle:
25.48°, d 3.495, I = 100
25.80°, d 3.453, I = 42
25.91°, d 3.439, I = 41
27.25°, d 3.273, I = 28
28.04°, d 3.182, I = 80
39.58°, d 2.277, I = 29
41.38°, d 2.182, I = 28
48.08°, d 1.892, I = 35

```
MgMnI5
1.0
5.5684 -4.7088 0.0000
5.5684 4.7088 0.0000
-3.8100 0.0000 10.4092
Mg Mn I
2 2 10
Direct
0.0424 0.9576 0.7500
0.9576 0.0424 0.2500
0.0000 0.5000 0.0000
0.5000 0.0000 0.5000
0.1736 0.6174 0.8491
0.1886 0.2493 0.4923
0.2493 0.1886 0.9923
0.2528 0.7472 0.2500
0.3826 0.8264 0.6509
0.6174 0.1736 0.3491
0.7472 0.2528 0.7500
0.7507 0.8114 0.0077
0.8114 0.7507 0.5077
0.8264 0.3826 0.1509
```

---

(12)
Theoretical X-ray powder pattern
Compound: HfTi4Tc
Radiation: Cu Kα, 1.54184 Å
Structure: the GGA-PBE geometry in Alexandria

Top 8 peaks for 10° ≤ 2θ ≤ 90°, by angle:
21.68°, d 4.099, I = 28
22.40°, d 3.968, I = 73
38.46°, d 2.340, I = 100
39.15°, d 2.301, I = 99
39.42°, d 2.286, I = 44
39.75°, d 2.268, I = 48
57.22°, d 1.610, I = 29
71.75°, d 1.315, I = 32

```
HfTi4Tc
1.0
9.8159 0.0000 0.0000
0.0000 4.5351 0.0000
-3.0814 0.0000 4.6790
Hf Ti Tc
2 8 2
Direct
0.0000 0.0000 0.0000
0.5000 0.5000 0.0000
0.1493 0.5000 0.8051
0.2067 0.5000 0.3566
0.2933 0.0000 0.6434
0.3507 0.0000 0.1949
0.6493 0.0000 0.8051
0.7067 0.0000 0.3566
0.7933 0.5000 0.6434
0.8507 0.5000 0.1949
0.0000 0.0000 0.5000
0.5000 0.5000 0.5000
```